1.
The following is a theoretical powder diffractogram of Pm2ZnIr. It was derived from a structure optimized by DFT (PBE), using Cu Kα.

Cell and atoms:
```
data_Pm2ZnIr
_chemical_formula_sum 'Pm8 Zn4 Ir4'
_cell_length_a 7.1599
_cell_length_b 7.1599
_cell_length_c 7.1599
_cell_angle_alpha 90.00
_cell_angle_beta 90.00
_cell_angle_gamma 90.00
_symmetry_space_group_name_H-M 'F m -3 m'
_symmetry_Int_Tables_number 225
_symmetry_space_group_name_Hall '-F 4 2 3'
loop_
_atom_site_label
_atom_site_type_symbol
_atom_site_fract_x
_atom_site_fract_y
_atom_site_fract_z
Pm1 Pm 0.2500 0.2500 0.2500
Zn1 Zn 0.0000 0.0000 0.0000
Ir1 Ir 0.0000 0.0000 0.5000
```

Principal peaks in the range 2θ = 10–90°, most intense first:
35.46°, intensity 1000, hkl 2 2 0; 63.67°, intensity 364, hkl 4 2 2; 51.02°, intensity 178, hkl 4 0 0; 85.84°, intensity 162, hkl 6 2 0; 75.05°, intensity 112, hkl 4 4 0; 21.50°, intensity 103, hkl 1 1 1; 41.85°, intensity 57, hkl 3 1 1; 55.98°, intensity 26, hkl 3 3 1; 79.14°, intensity 20, hkl 5 3 1; 68.04°, intensity 20, hkl 5 1 1


2.
The following is a theoretical powder diffractogram of Gd2CdO4. It was derived from a structure optimized by DFT (PBE), using Cu Kα.

Cell and atoms:
Unit cell a=9.7425 b=9.7425 c=9.7425 alpha=90.00 beta=90.00 gamma=90.00
Space group Fd-3m (No. 227, origin choice 2)
Unique sites:
Gd 0.0000 0.0000 0.0000 x16
Cd 0.1250 0.1250 0.6250 x8
O 0.0117 0.0117 0.2383 x32

Principal peaks in the range 2θ = 10–90°, most intense first:
30.43°, intensity 1000, hkl 3 1 1; 53.18°, intensity 430, hkl 4 4 0; 48.56°, intensity 391, hkl 5 1 1; 31.82°, intensity 321, hkl 2 2 2; 74.86°, intensity 215, hkl 5 5 3; 15.76°, intensity 196, hkl 1 1 1; 25.87°, intensity 190, hkl 2 2 0; 36.91°, intensity 182, hkl 4 0 0; 63.32°, intensity 158, hkl 6 2 2; 62.52°, intensity 127, hkl 5 3 3


3.
The following is a theoretical powder diffractogram of Ca2MgAs2H4O10. It was derived from a structure optimized by DFT (PBE), using Cu Kα.

Cell and atoms:
```
data_Ca2MgAs2H4O10
_chemical_formula_sum 'Ca4 Mg2 As4 H8 O20'
_cell_length_a 5.8667
_cell_length_b 13.0967
_cell_length_c 5.7409
_cell_angle_alpha 90.00
_cell_angle_beta 107.60
_cell_angle_gamma 90.00
_symmetry_space_group_name_H-M 'P 1 21/c 1'
_symmetry_Int_Tables_number 14
loop_
_symmetry_equiv_pos_as_xyz
'x,y,z'
'-x,-y,-z'
'-x,y+1/2,-z+1/2'
'x,-y+1/2,z+1/2'
loop_
_atom_site_label
_atom_site_type_symbol
_atom_site_fract_x
_atom_site_fract_y
_atom_site_fract_z
Ca1 Ca 0.0616 0.1243 0.2298
Mg1 Mg 0.5000 0.0000 0.0000
As1 As 0.2837 0.6206 0.9345
H1 H 0.2047 0.1462 0.7977
H2 H 0.3998 0.2069 0.9990
O1 O 0.0522 0.7046 0.9193
O2 O 0.2244 0.5515 0.6646
O3 O 0.2623 0.5390 0.1642
O4 O 0.3176 0.1369 0.9656
O5 O 0.4424 0.1776 0.4962
```

Principal peaks in the range 2θ = 10–90°, most intense first:
29.42°, intensity 1000, hkl 1 2 1; 27.24°, intensity 449, hkl 0 4 0; 26.11°, intensity 383, hkl 0 3 1; 31.76°, intensity 352, hkl 1 0 -2; 25.89°, intensity 339, hkl 1 3 0; 34.15°, intensity 325, hkl 2 2 -1; 42.33°, intensity 311, hkl 1 4 -2; 17.24°, intensity 292, hkl 1 1 0; 31.98°, intensity 292, hkl 2 1 -1; 17.57°, intensity 273, hkl 0 1 1


4.
The following is a theoretical powder diffractogram of Er4Ga16Co3. It was derived from a structure optimized by DFT (PBE), using Cu Kα.

Cell and atoms:
```
data_Er4Ga16Co3
_chemical_formula_sum 'Er4 Ga16 Co3'
_cell_length_a 6.0054
_cell_length_b 6.0054
_cell_length_c 11.0501
_cell_angle_alpha 90.00
_cell_angle_beta 90.00
_cell_angle_gamma 90.00
_symmetry_space_group_name_H-M 'P 4/m m m'
_symmetry_Int_Tables_number 123
_symmetry_space_group_name_Hall '-P 4 2'
loop_
_atom_site_label
_atom_site_type_symbol
_atom_site_fract_x
_atom_site_fract_y
_atom_site_fract_z
Er1 Er 0.0000 0.5000 0.1933
Ga1 Ga 0.0000 0.0000 0.1975
Ga2 Ga 0.2194 0.2194 0.0000
Ga3 Ga 0.2496 0.2496 0.3834
Ga4 Ga 0.5000 0.5000 0.2183
Co1 Co 0.0000 0.5000 0.5000
Co2 Co 0.5000 0.5000 0.0000
```

Principal peaks in the range 2θ = 10–90°, most intense first:
38.69°, intensity 1000, hkl 2 0 3; 42.58°, intensity 696, hkl 2 2 0; 33.98°, intensity 537, hkl 2 0 2; 60.46°, intensity 323, hkl 2 2 5; 40.83°, intensity 275, hkl 0 0 5; 32.17°, intensity 251, hkl 1 1 3; 75.33°, intensity 245, hkl 4 2 3; 61.79°, intensity 215, hkl 4 0 0; 20.92°, intensity 195, hkl 1 1 0; 44.57°, intensity 161, hkl 2 0 4


Copy entry 2 word for word.
The following is a theoretical powder diffractogram of Gd2CdO4. It was derived from a structure optimized by DFT (PBE), using Cu Kα.

Cell and atoms:
Unit cell a=9.7425 b=9.7425 c=9.7425 alpha=90.00 beta=90.00 gamma=90.00
Space group Fd-3m (No. 227, origin choice 2)
Unique sites:
Gd 0.0000 0.0000 0.0000 x16
Cd 0.1250 0.1250 0.6250 x8
O 0.0117 0.0117 0.2383 x32

Principal peaks in the range 2θ = 10–90°, most intense first:
30.43°, intensity 1000, hkl 3 1 1; 53.18°, intensity 430, hkl 4 4 0; 48.56°, intensity 391, hkl 5 1 1; 31.82°, intensity 321, hkl 2 2 2; 74.86°, intensity 215, hkl 5 5 3; 15.76°, intensity 196, hkl 1 1 1; 25.87°, intensity 190, hkl 2 2 0; 36.91°, intensity 182, hkl 4 0 0; 63.32°, intensity 158, hkl 6 2 2; 62.52°, intensity 127, hkl 5 3 3